Diffraction record for Mn4Si4SnB2H2O18. The powder diffraction line list is computed, not measured: it uses a GGA+U-relaxed structure and a wavelength of 1.5418 Å.
Lines closer than 0.1° are merged.

Principal peaks in the range 2θ = 10–80°, low angle first:
Position (°2θ)  I/Imax
14.26  36
14.57  39
16.51  43
20.26  37
25.85  67
27.37  56
31.32  100
31.60  91
37.45  38
39.79  44

Crystal structure
```
data_Mn4Si4SnB2H2O18
_cell_length_a 7.0538
_cell_length_b 7.4558
_cell_length_c 7.7782
_cell_angle_alpha 78.23
_cell_angle_beta 63.06
_cell_angle_gamma 76.86
_space_group_name_H-M_alt 'P -1'
_space_group_IT_number 2
loop_
_space_group_symop_operation_xyz
'x,y,z'
'-x,-y,-z'
loop_
_atom_site_label
_atom_site_fract_x
_atom_site_fract_y
_atom_site_fract_z
Mn1 0.0419 0.2881 0.2648
Mn2 0.4551 0.7239 0.7341
Si1 0.2460 0.6763 0.2235
Si2 0.3159 0.3260 0.7590
Sn1 0.0000 0.0000 0.0000
B1 0.1793 0.1234 0.5700
H1 0.3312 0.9530 0.3404
O1 0.0252 0.7513 0.4101
O2 0.1484 0.9559 0.7088
O3 0.1579 0.2204 0.9654
O4 0.2500 0.5490 0.7356
O5 0.2514 0.8042 0.0223
O6 0.2811 0.4571 0.2108
O7 0.2836 0.0852 0.3624
O8 0.3297 0.2300 0.5792
O9 0.4351 0.7298 0.2640
```